Record 1
Structure and theoretical powder X-ray diffraction pattern of Mg4Si2IrPt (a DFT-relaxed cell (PBE, OQMD); copper Kα).

Crystal structure
a = 4.2508 Å, b = 4.2508 Å, c = 8.6841 Å
α = 90.00°, β = 90.00°, γ = 120.00°
Space group P-6m2 (No. 187)
Asymmetric unit:
1 Mg 0.0000 0.0000 0.1624 [2 per cell]
2 Mg 0.3333 0.6667 0.3308 [2 per cell]
3 Si 0.6667 0.3333 0.0000 [1 per cell]
4 Si 0.6667 0.3333 0.5000 [1 per cell]
5 Ir 0.3333 0.6667 0.0000 [1 per cell]
6 Pt 0.0000 0.0000 0.5000 [1 per cell]

Top 10 peaks for 2θ from 10° to 90°, sorted by position:
2θ (°), d_spacing, I/Imax
20.45, 4.342, 58
24.18, 3.681, 26
26.29, 3.389, 100
39.61, 2.275, 75
42.53, 2.125, 51
47.64, 1.909, 38
50.70, 1.801, 17
59.52, 1.553, 23
61.01, 1.519, 18
75.87, 1.254, 22

---

Record 2
Structure and theoretical powder X-ray diffraction pattern of Sr7Re4O19 (a DFT-relaxed cell (PBE, OQMD); copper Kα).

Crystal structure
a = 13.6411 Å, b = 5.5678 Å, c = 10.3918 Å
α = 90.00°, β = 98.62°, γ = 90.00°
Space group C2/m (No. 12)
Asymmetric unit:
1 Sr 0.0000 0.0000 0.0000 [2 per cell]
2 Sr 0.0825 0.0000 0.6640 [4 per cell]
3 Sr 0.1415 0.5000 0.4562 [4 per cell]
4 Sr 0.2106 0.5000 0.0897 [4 per cell]
5 Re 0.0344 0.5000 0.8224 [4 per cell]
6 Re 0.1710 0.0000 0.2800 [4 per cell]
7 O 0.0000 0.5000 0.0000 [2 per cell]
8 O 0.0455 0.5000 0.6435 [4 per cell]
9 O 0.0712 0.2544 0.2162 [8 per cell]
10 O 0.1036 0.0000 0.4322 [4 per cell]
11 O 0.1258 0.2520 0.8737 [8 per cell]
12 O 0.1967 0.0000 0.1108 [4 per cell]
13 O 0.2408 0.2574 0.6544 [8 per cell]

Top 10 peaks for 2θ from 10° to 90°, sorted by position:
2θ (°), d_spacing, I/Imax
17.26, 5.138, 14
19.73, 4.500, 14
29.14, 3.065, 100
32.19, 2.781, 80
43.90, 2.062, 35
44.10, 2.053, 16
49.59, 1.838, 14
55.49, 1.656, 23
55.62, 1.653, 12
70.01, 1.344, 11